This entry pairs a crystal structure of TeOsPbI2 with its simulated X-ray powder pattern. Radiation: copper Kα. Structure: a DFT-relaxed cell (GGA-PBE, Alexandria).
Neutral-atom scattering factors, no anomalous dispersion.

Crystal structure
```
data_TeOsPbI2
_cell_length_a 5.515
_cell_length_b 5.515
_cell_length_c 5.151
_cell_angle_alpha 90.00
_cell_angle_beta 90.00
_cell_angle_gamma 90.00
_symmetry_space_group_name_H-M 'P 4/m m m'
_symmetry_Int_Tables_number 123
_symmetry_space_group_name_Hall '-P 4 2'
loop_
_atom_site_label
_atom_site_fract_x
_atom_site_fract_y
_atom_site_fract_z
Te1 0.000 0.000 0.000
Os1 0.000 0.000 0.500
Pb1 0.500 0.500 0.000
I1 0.000 0.500 0.500
```

Main lines, sorted by position (10 to 90 degrees two-theta):
two_theta, I_rel
22.80, 28.0
23.64, 52.8
28.71, 73.0
32.47, 100.0
34.83, 41.5
40.56, 27.0
46.58, 36.8
48.36, 65.9
59.46, 35.6
87.76, 25.2